No. 1
For PrTl, DFT lattice parameters and positions (PBE) gives the computed powder diffractogram in this record (Cu Kα X-rays).

Top 6 peaks for 2θ from 10° to 90°, in order of rising 2θ:
- (1 1 0), 2θ 32.1, 2.787 Å, I = 100
- (2 0 0), 2θ 46.1, 1.971 Å, I = 19
- (2 1 1), 2θ 57.3, 1.609 Å, I = 39
- (2 2 0), 2θ 67.2, 1.394 Å, I = 12
- (3 1 0), 2θ 76.4, 1.246 Å, I = 17
- (2 2 2), 2θ 85.3, 1.138 Å, I = 4

Structure:
```
data_PrTl
_cell_length_a 3.942
_cell_length_b 3.942
_cell_length_c 3.942
_cell_angle_alpha 90.00
_cell_angle_beta 90.00
_cell_angle_gamma 90.00
_space_group_name_H-M_alt 'P m -3 m'
_space_group_IT_number 221
_space_group_name_Hall '-P 4 2 3'
loop_
_atom_site_label
_atom_site_fract_x
_atom_site_fract_y
_atom_site_fract_z
Pr1 0.000 0.000 0.000
Tl1 0.500 0.500 0.500
```



No. 2
For Mg6GaSi, DFT lattice parameters and positions (PBE) gives the computed powder diffractogram in this record (Cu Kα X-rays).

Top 6 peaks for 2θ from 10° to 90°, in order of rising 2θ:
- (0 2 2), 2θ 32.4, 2.762 Å, I = 20
- (2 0 0), 2θ 37.6, 2.393 Å, I = 100
- (1 0 4), 2θ 38.8, 2.322 Å, I = 34
- (0 2 6), 2θ 59.5, 1.553 Å, I = 12
- (3 2 2), 2θ 67.8, 1.382 Å, I = 15
- (2 2 6), 2θ 72.6, 1.303 Å, I = 13

Structure:
```
data_Mg6GaSi
_cell_length_a 4.788
_cell_length_b 6.468
_cell_length_c 10.621
_cell_angle_alpha 90.00
_cell_angle_beta 90.00
_cell_angle_gamma 90.00
_space_group_name_H-M_alt 'A m m 2'
_space_group_IT_number 38
loop_
_space_group_symop_operation_xyz
'x,y,z'
'-x,-y,z'
'-x,y,z'
'x,-y,z'
'x,y+1/2,z+1/2'
'-x,-y+1/2,z+1/2'
'-x,y+1/2,z+1/2'
'x,-y+1/2,z+1/2'
loop_
_atom_site_label
_atom_site_fract_x
_atom_site_fract_y
_atom_site_fract_z
Mg1 0.000 0.000 0.000
Mg2 0.000 0.000 0.499
Mg3 0.000 0.249 0.242
Mg4 0.500 0.250 0.414
Ga1 0.500 0.000 0.663
Si1 0.500 0.000 0.163
```



No. 3
For Cs2KTlBr6, DFT lattice parameters and positions (PBE) gives the computed powder diffractogram in this record (Cu Kα X-rays).

Top 6 peaks for 2θ from 10° to 90°, in order of rising 2θ:
- (1 1 1), 2θ 12.9, 6.873 Å, I = 42
- (2 2 0), 2θ 21.1, 4.209 Å, I = 58
- (2 2 2), 2θ 25.9, 3.437 Å, I = 52
- (4 0 0), 2θ 30.0, 2.976 Å, I = 100
- (4 4 0), 2θ 43.0, 2.104 Å, I = 72
- (8 4 0), 2θ 70.8, 1.331 Å, I = 30

Structure:
```
data_Cs2KTlBr6
_cell_length_a 11.905
_cell_length_b 11.905
_cell_length_c 11.905
_cell_angle_alpha 90.00
_cell_angle_beta 90.00
_cell_angle_gamma 90.00
_space_group_name_H-M_alt 'F m -3 m'
_space_group_IT_number 225
_space_group_name_Hall '-F 4 2 3'
loop_
_atom_site_label
_atom_site_fract_x
_atom_site_fract_y
_atom_site_fract_z
Cs1 0.250 0.250 0.250
K1 0.000 0.000 0.000
Tl1 0.000 0.000 0.500
Br1 0.000 0.000 0.266
```



No. 4
For Ti2Bi2O7, DFT lattice parameters and positions (PBE) gives the computed powder diffractogram in this record (Cu Kα X-rays).

Top 6 peaks for 2θ from 10° to 90°, in order of rising 2θ:
- (1 1 0), 2θ 14.6, 6.075 Å, I = 40
- (0 3 1), 2θ 28.1, 3.173 Å, I = 41
- (0 2 2), 2θ 29.4, 3.038 Å, I = 100
- (2 0 2), 2θ 34.1, 2.631 Å, I = 30
- (0 1 3), 2θ 37.2, 2.415 Å, I = 22
- (2 4 2), 2θ 49.0, 1.859 Å, I = 26

Structure:
```
data_Ti2Bi2O7
_cell_length_a 7.427
_cell_length_b 10.521
_cell_length_c 7.455
_cell_angle_alpha 90.00
_cell_angle_beta 90.00
_cell_angle_gamma 90.00
_space_group_name_H-M_alt 'P n a 21'
_space_group_IT_number 33
loop_
_space_group_symop_operation_xyz
'x,y,z'
'-x,-y,z+1/2'
'-x+1/2,y+1/2,z+1/2'
'x+1/2,-y+1/2,z'
loop_
_atom_site_label
_atom_site_fract_x
_atom_site_fract_y
_atom_site_fract_z
Ti1 0.010 0.010 0.000
Ti2 0.239 0.738 0.240
Bi1 0.037 0.471 0.970
Bi2 0.218 0.766 0.787
O1 0.004 0.929 0.740
O2 0.012 0.316 0.757
O3 0.017 0.377 0.253
O4 0.171 0.865 0.048
O5 0.190 0.877 0.432
O6 0.203 0.116 0.927
O7 0.210 0.124 0.541
```